# V12Ga6Si
Computed X-ray diffraction stick pattern, Cu Kα, 1.54184 Å. Input: a DFT-relaxed cell (GGA-PBE, Alexandria).

a = 9.1650 Å, b = 9.1650 Å, c = 11.0025 Å
α = 90.00°, β = 90.00°, γ = 120.00°
Space group R-3 (No. 148, hexagonal axes)
Inequivalent atoms, fractional coordinates:
1 V 0.0474 0.1805 0.3056 (multiplicity 18)
2 V 0.0646 0.8467 0.9144 (multiplicity 18)
3 Ga 0.0260 0.4359 0.2109 (multiplicity 18)
4 Si 0.0000 0.0000 0.5000 (multiplicity 3)

Largest 12 diffraction maxima, in order of rising 2θ, 2θ = 5–70°:
| h k l | d [Å] | Position (°2θ) | Rel. int. |
| --- | --- | --- | --- |
| 1 1 0 | 4.583 | 19.4 | 7 |
| 2 0 2 | 3.218 | 27.7 | 6 |
| 1 1 3 | 2.863 | 31.2 | 26 |
| 1 3 1 | 2.159 | 41.8 | 100 |
| 0 3 3 | 2.146 | 42.1 | 44 |
| 0 1 5 | 2.121 | 42.6 | 34 |
| 4 -1 2 | 2.044 | 44.3 | 59 |
| 2 1 4 | 2.027 | 44.7 | 49 |
| 2 2 3 | 1.943 | 46.7 | 11 |
| 2 0 5 | 1.924 | 47.2 | 14 |
| 2 -1 6 | 1.702 | 53.8 | 6 |
| 4 2 2 | 1.447 | 64.4 | 9 |